Record 1
Simulated powder XRD pattern
Compound: Tb4ErSe6
Radiation: CuKα
Structure: a PBE-relaxed structure

Peak list (12 most intense, 2θ from 5° to 70°, low angle first)
2θ/deg  I (rel.)
25.2  58
29.0  38
30.3  40
31.2  100
32.7  66
32.9  28
42.0  45
44.0  32
44.2  32
45.5  37
54.8  21
65.2  20

Cell and atoms:
```
data_Tb4ErSe6
_space_group_name_H-M_alt 'P 1'
_space_group_IT_number 1
_cell_length_a 7.013
_cell_length_b 7.013
_cell_length_c 20.809
_cell_angle_alpha 90.00
_cell_angle_beta 90.00
_cell_angle_gamma 147.00
loop_
_space_group_symop_operation_xyz
'x,y,z'
loop_
_atom_site_label
_atom_site_fract_x
_atom_site_fract_y
_atom_site_fract_z
Tb1 0.089 0.911 0.628
Tb2 0.089 0.911 0.872
Tb3 0.359 0.641 0.539
Tb4 0.359 0.641 0.961
Tb5 0.641 0.359 0.039
Tb6 0.641 0.359 0.461
Tb7 0.911 0.089 0.128
Tb8 0.911 0.089 0.372
Er1 0.153 0.847 0.250
Er2 0.847 0.153 0.750
Se1 0.000 0.000 0.000
Se2 0.000 0.000 0.500
Se3 0.194 0.806 0.750
Se4 0.270 0.730 0.091
Se5 0.270 0.730 0.409
Se6 0.445 0.555 0.668
Se7 0.445 0.555 0.832
Se8 0.555 0.445 0.168
Se9 0.555 0.445 0.332
Se10 0.730 0.270 0.591
Se11 0.730 0.270 0.909
Se12 0.806 0.194 0.250
```

=====

Record 2
Simulated powder XRD pattern
Compound: Tb6ErSe8
Radiation: CuKα
Structure: a PBE-relaxed structure

Peak list (12 most intense, 2θ from 5° to 70°, low angle first)
2θ/deg  I (rel.)
13.3  9
15.4  4
21.8  4
25.6  6
26.8  14
31.0  100
33.9  3
44.4  74
46.6  2
52.6  7
55.2  26
64.6  12

Cell and atoms:
```
data_Tb6ErSe8
_space_group_name_H-M_alt 'P 1'
_space_group_IT_number 1
_cell_length_a 8.158
_cell_length_b 8.158
_cell_length_c 8.158
_cell_angle_alpha 60.00
_cell_angle_beta 60.00
_cell_angle_gamma 60.00
loop_
_space_group_symop_operation_xyz
'x,y,z'
loop_
_atom_site_label
_atom_site_fract_x
_atom_site_fract_y
_atom_site_fract_z
Tb1 0.000 0.000 0.500
Tb2 0.000 0.500 0.000
Tb3 0.000 0.500 0.500
Tb4 0.500 0.000 0.000
Tb5 0.500 0.000 0.500
Tb6 0.500 0.500 0.000
Er1 0.000 0.000 0.000
Se1 0.250 0.250 0.250
Se2 0.251 0.251 0.749
Se3 0.251 0.749 0.251
Se4 0.251 0.749 0.749
Se5 0.749 0.251 0.251
Se6 0.749 0.251 0.749
Se7 0.749 0.749 0.251
Se8 0.750 0.750 0.750
```

=====

Record 3
Simulated powder XRD pattern
Compound: Tb2ErTmSe6
Radiation: CuKα
Structure: a PBE-relaxed structure

Peak list (12 most intense, 2θ from 5° to 70°, low angle first)
2θ/deg  I (rel.)
16.9  43
23.3  57
24.8  41
28.4  55
34.3  37
37.4  100
42.8  33
43.7  62
49.2  18
58.8  26
62.1  14
68.6  12

Cell and atoms:
```
data_Tb2ErTmSe6
_space_group_name_H-M_alt 'P 1'
_space_group_IT_number 1
_cell_length_a 7.678
_cell_length_b 7.678
_cell_length_c 7.678
_cell_angle_alpha 55.77
_cell_angle_beta 55.77
_cell_angle_gamma 55.77
loop_
_space_group_symop_operation_xyz
'x,y,z'
loop_
_atom_site_label
_atom_site_fract_x
_atom_site_fract_y
_atom_site_fract_z
Tb1 0.000 0.000 0.000
Tb2 0.500 0.500 0.500
Er1 0.196 0.196 0.196
Tm1 0.695 0.695 0.695
Se1 0.090 0.410 0.799
Se2 0.299 0.908 0.592
Se3 0.410 0.799 0.090
Se4 0.592 0.299 0.908
Se5 0.799 0.090 0.410
Se6 0.908 0.592 0.299
```

=====

Record 4
Simulated powder XRD pattern
Compound: Tb2Er3TmSe6
Radiation: CuKα
Structure: a PBE-relaxed structure

Peak list (12 most intense, 2θ from 5° to 70°, low angle first)
2θ/deg  I (rel.)
26.9  11
27.0  11
31.2  100
44.5  12
44.7  25
44.8  37
53.1  6
55.3  7
55.5  6
55.7  13
65.1  8
65.2  4

Cell and atoms:
```
data_Tb2Er3TmSe6
_space_group_name_H-M_alt 'P 1'
_space_group_IT_number 1
_cell_length_a 9.059
_cell_length_b 9.059
_cell_length_c 8.139
_cell_angle_alpha 103.16
_cell_angle_beta 103.16
_cell_angle_gamma 25.77
loop_
_space_group_symop_operation_xyz
'x,y,z'
loop_
_atom_site_label
_atom_site_fract_x
_atom_site_fract_y
_atom_site_fract_z
Tb1 0.168 0.168 0.336
Tb2 0.832 0.832 0.664
Er1 0.169 0.169 0.833
Er2 0.500 0.500 0.500
Er3 0.831 0.831 0.167
Tm1 0.500 0.500 0.000
Se1 0.002 0.002 0.753
Se2 0.335 0.335 0.414
Se3 0.335 0.335 0.922
Se4 0.665 0.665 0.078
Se5 0.665 0.665 0.586
Se6 0.998 0.998 0.247
```

=====

Record 5
Simulated powder XRD pattern
Compound: Er2TeSe
Radiation: CuKα
Structure: a PBE-relaxed structure

Peak list (12 most intense, 2θ from 5° to 70°, low angle first)
2θ/deg  I (rel.)
14.2  6
26.0  13
28.5  37
30.9  100
36.2  50
42.6  49
44.3  37
53.6  25
58.5  24
63.7  24
64.4  6
64.5  6

Cell and atoms:
```
data_Er2TeSe
_space_group_name_H-M_alt 'P 1'
_space_group_IT_number 1
_cell_length_a 5.775
_cell_length_b 6.255
_cell_length_c 11.569
_cell_angle_alpha 90.00
_cell_angle_beta 90.00
_cell_angle_gamma 90.00
loop_
_space_group_symop_operation_xyz
'x,y,z'
loop_
_atom_site_label
_atom_site_fract_x
_atom_site_fract_y
_atom_site_fract_z
Er1 0.000 0.188 0.132
Er2 0.000 0.189 0.615
Er3 0.000 0.811 0.385
Er4 0.000 0.812 0.868
Er5 0.500 0.188 0.368
Er6 0.500 0.189 0.885
Er7 0.500 0.811 0.115
Er8 0.500 0.812 0.632
Te1 0.000 0.303 0.873
Te2 0.000 0.697 0.127
Te3 0.500 0.303 0.627
Te4 0.500 0.697 0.373
Se1 0.000 0.270 0.374
Se2 0.000 0.730 0.626
Se3 0.500 0.270 0.126
Se4 0.500 0.730 0.874
```

=====

Record 6
Simulated powder XRD pattern
Compound: Er3TeSe2
Radiation: CuKα
Structure: a PBE-relaxed structure

Peak list (12 most intense, 2θ from 5° to 70°, low angle first)
2θ/deg  I (rel.)
25.7  23
25.9  49
29.1  26
29.2  50
32.1  25
32.3  52
33.9  50
34.0  100
38.0  51
44.7  34
45.1  70
45.4  38

Cell and atoms:
```
data_Er3TeSe2
_space_group_name_H-M_alt 'P 1'
_space_group_IT_number 1
_cell_length_a 6.975
_cell_length_b 3.993
_cell_length_c 11.054
_cell_angle_alpha 90.00
_cell_angle_beta 102.10
_cell_angle_gamma 90.00
loop_
_space_group_symop_operation_xyz
'x,y,z'
loop_
_atom_site_label
_atom_site_fract_x
_atom_site_fract_y
_atom_site_fract_z
Er1 0.117 0.250 0.152
Er2 0.223 0.250 0.496
Er3 0.352 0.250 0.853
Er4 0.648 0.750 0.147
Er5 0.777 0.750 0.504
Er6 0.883 0.750 0.848
Te1 0.473 0.750 0.671
Te2 0.527 0.250 0.329
Se1 0.020 0.750 0.323
Se2 0.255 0.750 0.010
Se3 0.745 0.250 0.990
Se4 0.980 0.250 0.677
```

=====

Record 7
Simulated powder XRD pattern
Compound: Er6TeSe5
Radiation: CuKα
Structure: a PBE-relaxed structure

Peak list (12 most intense, 2θ from 5° to 70°, low angle first)
2θ/deg  I (rel.)
26.6  9
26.8  8
30.9  100
44.1  12
44.2  24
44.3  24
44.5  11
52.4  5
54.9  13
55.1  6
55.2  6
64.5  11

Cell and atoms:
```
data_Er6TeSe5
_space_group_name_H-M_alt 'P 1'
_space_group_IT_number 1
_cell_length_a 7.097
_cell_length_b 7.097
_cell_length_c 7.086
_cell_angle_alpha 99.68
_cell_angle_beta 99.68
_cell_angle_gamma 120.29
loop_
_space_group_symop_operation_xyz
'x,y,z'
loop_
_atom_site_label
_atom_site_fract_x
_atom_site_fract_y
_atom_site_fract_z
Er1 0.061 0.410 0.228
Er2 0.237 0.237 0.761
Er3 0.410 0.061 0.228
Er4 0.590 0.939 0.772
Er5 0.763 0.763 0.239
Er6 0.939 0.590 0.772
Te1 0.500 0.500 0.500
Se1 0.000 0.000 0.000
Se2 0.169 0.831 0.500
Se3 0.342 0.658 0.000
Se4 0.658 0.342 0.000
Se5 0.831 0.169 0.500
```

=====

Record 8
Simulated powder XRD pattern
Compound: Er4TlTeSe2
Radiation: CuKα
Structure: a PBE-relaxed structure

Peak list (12 most intense, 2θ from 5° to 70°, low angle first)
2θ/deg  I (rel.)
12.7  5
30.0  51
30.2  100
42.0  19
43.1  75
44.4  18
52.4  10
52.5  10
54.5  19
62.4  6
62.7  12
69.4  8

Cell and atoms:
```
data_Er4TlTeSe2
_space_group_name_H-M_alt 'P 1'
_space_group_IT_number 1
_cell_length_a 7.341
_cell_length_b 4.083
_cell_length_c 7.358
_cell_angle_alpha 90.00
_cell_angle_beta 108.29
_cell_angle_gamma 90.00
loop_
_space_group_symop_operation_xyz
'x,y,z'
loop_
_atom_site_label
_atom_site_fract_x
_atom_site_fract_y
_atom_site_fract_z
Er1 0.234 0.000 0.232
Er2 0.252 0.500 0.765
Er3 0.748 0.500 0.235
Er4 0.766 0.000 0.768
Tl1 0.000 0.000 0.500
Te1 0.500 0.500 0.500
Se1 0.000 0.500 0.000
Se2 0.500 0.000 0.000
```

=====

Record 9
Simulated powder XRD pattern
Compound: YErTeSe
Radiation: CuKα
Structure: a PBE-relaxed structure

Peak list (12 most intense, 2θ from 5° to 70°, low angle first)
2θ/deg  I (rel.)
12.2  12
25.5  10
26.5  41
30.1  21
32.6  100
38.6  37
44.3  51
49.2  17
50.4  8
56.1  21
60.1  10
69.3  19

Cell and atoms:
```
data_YErTeSe
_space_group_name_H-M_alt 'P 1'
_space_group_IT_number 1
_cell_length_a 7.616
_cell_length_b 7.616
_cell_length_c 7.616
_cell_angle_alpha 31.17
_cell_angle_beta 31.17
_cell_angle_gamma 31.17
loop_
_space_group_symop_operation_xyz
'x,y,z'
loop_
_atom_site_label
_atom_site_fract_x
_atom_site_fract_y
_atom_site_fract_z
Y1 0.000 0.000 0.000
Er1 0.813 0.813 0.813
Te1 0.238 0.238 0.238
Se1 0.410 0.410 0.410
```

=====

Record 10
Simulated powder XRD pattern
Compound: Er2Th2Se7
Radiation: CuKα
Structure: a PBE-relaxed structure

Peak list (12 most intense, 2θ from 5° to 70°, low angle first)
2θ/deg  I (rel.)
23.0  58
23.4  29
24.4  20
26.4  36
29.6  23
34.0  100
34.4  24
38.7  56
42.1  31
43.3  31
61.0  21
61.9  20

Cell and atoms:
```
data_Er2Th2Se7
_space_group_name_H-M_alt 'P 1'
_space_group_IT_number 1
_cell_length_a 8.860
_cell_length_b 8.860
_cell_length_c 8.860
_cell_angle_alpha 152.69
_cell_angle_beta 68.88
_cell_angle_gamma 118.15
loop_
_space_group_symop_operation_xyz
'x,y,z'
loop_
_atom_site_label
_atom_site_fract_x
_atom_site_fract_y
_atom_site_fract_z
Er1 0.000 0.000 0.000
Er2 0.538 0.038 0.500
Th1 0.056 0.793 0.263
Th2 0.530 0.793 0.737
Se1 0.221 0.721 0.500
Se2 0.276 0.093 0.183
Se3 0.358 0.495 0.863
Se4 0.633 0.495 0.137
Se5 0.703 0.313 0.390
Se6 0.911 0.093 0.817
Se7 0.922 0.313 0.610
```

=====

Record 11
Simulated powder XRD pattern
Compound: ErThSe4
Radiation: CuKα
Structure: a PBE-relaxed structure

Peak list (12 most intense, 2θ from 5° to 70°, low angle first)
2θ/deg  I (rel.)
21.5  100
22.3  86
25.1  40
25.2  41
25.6  41
30.5  33
36.2  92
41.7  48
41.8  43
42.7  41
43.0  47
43.2  98

Cell and atoms:
```
data_ErThSe4
_space_group_name_H-M_alt 'P 1'
_space_group_IT_number 1
_cell_length_a 7.073
_cell_length_b 6.964
_cell_length_c 7.103
_cell_angle_alpha 90.00
_cell_angle_beta 93.10
_cell_angle_gamma 90.00
loop_
_space_group_symop_operation_xyz
'x,y,z'
loop_
_atom_site_label
_atom_site_fract_x
_atom_site_fract_y
_atom_site_fract_z
Er1 0.000 0.000 0.000
Er2 0.000 0.500 0.500
Th1 0.500 0.000 0.500
Th2 0.500 0.500 0.000
Se1 0.128 0.131 0.635
Se2 0.128 0.369 0.135
Se3 0.351 0.642 0.644
Se4 0.351 0.858 0.144
Se5 0.649 0.142 0.856
Se6 0.649 0.358 0.356
Se7 0.872 0.631 0.865
Se8 0.872 0.869 0.365
```

=====

Record 12
Simulated powder XRD pattern
Compound: ErTm2ThSe4
Radiation: CuKα
Structure: a PBE-relaxed structure

Peak list (12 most intense, 2θ from 5° to 70°, low angle first)
2θ/deg  I (rel.)
26.4  8
26.6  7
27.1  14
31.1  100
43.8  13
44.4  25
44.6  25
45.2  12
54.5  7
54.9  7
55.8  13
64.8  8

Cell and atoms:
```
data_ErTm2ThSe4
_space_group_name_H-M_alt 'P 1'
_space_group_IT_number 1
_cell_length_a 7.070
_cell_length_b 4.012
_cell_length_c 7.118
_cell_angle_alpha 90.00
_cell_angle_beta 108.76
_cell_angle_gamma 90.00
loop_
_space_group_symop_operation_xyz
'x,y,z'
loop_
_atom_site_label
_atom_site_fract_x
_atom_site_fract_y
_atom_site_fract_z
Er1 0.000 0.000 0.000
Tm1 0.000 0.500 0.500
Tm2 0.500 0.000 0.500
Th1 0.500 0.500 0.000
Se1 0.237 0.000 0.736
Se2 0.245 0.500 0.258
Se3 0.755 0.500 0.742
Se4 0.763 0.000 0.264
```

=====

Record 13
Simulated powder XRD pattern
Compound: Er5TlSe4
Radiation: CuKα
Structure: a PBE-relaxed structure

Peak list (12 most intense, 2θ from 5° to 70°, low angle first)
2θ/deg  I (rel.)
13.6  3
18.0  3
19.3  2
26.5  12
30.7  100
33.0  1
38.5  1
44.0  75
52.1  5
54.6  26
63.9  8
64.1  4

Cell and atoms:
```
data_Er5TlSe4
_space_group_name_H-M_alt 'P 1'
_space_group_IT_number 1
_cell_length_a 7.132
_cell_length_b 7.132
_cell_length_c 7.132
_cell_angle_alpha 99.56
_cell_angle_beta 99.56
_cell_angle_gamma 131.89
loop_
_space_group_symop_operation_xyz
'x,y,z'
loop_
_atom_site_label
_atom_site_fract_x
_atom_site_fract_y
_atom_site_fract_z
Er1 0.000 0.000 0.000
Er2 0.196 0.399 0.595
Er3 0.399 0.804 0.204
Er4 0.601 0.196 0.796
Er5 0.804 0.601 0.405
Tl1 0.500 0.500 0.000
Se1 0.101 0.699 0.800
Se2 0.301 0.101 0.402
Se3 0.699 0.899 0.598
Se4 0.899 0.301 0.200
```